The following is a theoretical powder diffraction line list of SmYTlNi2. It was derived from a structure optimized by DFT (GGA-PBE), using a wavelength of 1.5418 Å.

Structure:
abc: 3.7222 7.5196 7.5196
angles: 30.35 90.00 90.00
Fractional coordinates of all 5 atoms:
Sm1 0.0000 0.0000 0.0000
Y1 0.0000 0.2760 0.2760
Tl1 0.5000 0.6403 0.6403
Ni1 0.5000 0.4355 0.4355
Ni2 0.5000 0.8386 0.8386

Largest 10 diffraction maxima, low angle first, 5 to 70 degrees two-theta:
d [Å], intensity
3.053, 43
2.659, 100
2.598, 67
2.336, 39
1.979, 17
1.968, 21
1.861, 18
1.569, 28
1.456, 17
1.352, 22